Record 1
The following is a theoretical PXRD pattern of Ac3GeAu3. It was derived from a crystal structure in Alexandria, relaxed with PBE, using Cu Kα, 1.54184 Å.
Intensities are scaled so that the largest is 100.

```
data_Ac3GeAu3
_cell_length_a 4.344
_cell_length_b 4.559
_cell_length_c 20.800
_cell_angle_alpha 90.00
_cell_angle_beta 90.00
_cell_angle_gamma 90.00
_symmetry_space_group_name_H-M 'I m m 2'
_symmetry_Int_Tables_number 44
loop_
_symmetry_equiv_pos_as_xyz
'x,y,z'
'-x,-y,z'
'-x,y,z'
'x,-y,z'
'x+1/2,y+1/2,z+1/2'
'-x+1/2,-y+1/2,z+1/2'
'-x+1/2,y+1/2,z+1/2'
'x+1/2,-y+1/2,z+1/2'
loop_
_atom_site_label
_atom_site_type_symbol
_atom_site_fract_x
_atom_site_fract_y
_atom_site_fract_z
Ac1 Ac 0.000 0.000 0.000
Ac2 Ac 0.000 0.000 0.361
Ac3 Ac 0.000 0.500 0.186
Ge1 Ge 0.000 0.500 0.745
Au1 Au 0.000 0.000 0.527
Au2 Au 0.000 0.000 0.826
Au3 Au 0.000 0.500 0.619
```

The 10 most intense peaks (10° ≤ 2θ ≤ 90°), most intense first:
- 2θ 29.69, I 100
- 2θ 33.29, I 32
- 2θ 36.08, I 25
- 2θ 38.65, I 25
- 2θ 39.53, I 23
- 2θ 25.70, I 20
- 2θ 41.57, I 20
- 2θ 58.71, I 15
- 2θ 56.20, I 14
- 2θ 52.80, I 14


Record 2
The following is a theoretical PXRD pattern of Rb3Cd2Pb2. It was derived from a crystal structure in Alexandria, relaxed with PBE, using Cu Kα, 1.54184 Å.
Intensities are scaled so that the largest is 100.

```
data_Rb3Cd2Pb2
_cell_length_a 7.373
_cell_length_b 9.625
_cell_length_c 16.542
_cell_angle_alpha 90.00
_cell_angle_beta 90.00
_cell_angle_gamma 90.00
_symmetry_space_group_name_H-M 'P b c m'
_symmetry_Int_Tables_number 57
loop_
_symmetry_equiv_pos_as_xyz
'x,y,z'
'-x,-y,-z'
'-x,-y,z+1/2'
'x,y,-z+1/2'
'x,-y+1/2,-z'
'-x,y+1/2,z'
'-x,y+1/2,-z+1/2'
'x,-y+1/2,z+1/2'
loop_
_atom_site_label
_atom_site_type_symbol
_atom_site_fract_x
_atom_site_fract_y
_atom_site_fract_z
Rb1 Rb 0.122 0.108 0.101
Rb2 Rb 0.330 0.731 0.750
Cd1 Cd 0.385 0.037 0.596
Pb1 Pb 0.181 0.097 0.750
Pb2 Pb 0.391 0.750 0.000
```

The 10 most intense peaks (10° ≤ 2θ ≤ 90°), most intense first:
- 2θ 16.08, I 100
- 2θ 30.61, I 93
- 2θ 30.38, I 70
- 2θ 31.00, I 57
- 2θ 25.88, I 54
- 2θ 26.42, I 39
- 2θ 28.46, I 39
- 2θ 27.41, I 37
- 2θ 37.57, I 33
- 2θ 33.88, I 30


Record 3
The following is a theoretical PXRD pattern of Tl2CrBr5. It was derived from a crystal structure in Alexandria, relaxed with PBE, using Cu Kα, 1.54184 Å.
Intensities are scaled so that the largest is 100.

```
data_Tl2CrBr5
_cell_length_a 7.742
_cell_length_b 7.742
_cell_length_c 9.496
_cell_angle_alpha 90.00
_cell_angle_beta 90.00
_cell_angle_gamma 90.00
_symmetry_space_group_name_H-M 'I 4 m m'
_symmetry_Int_Tables_number 107
_symmetry_space_group_name_Hall 'I 4 -2'
loop_
_atom_site_label
_atom_site_type_symbol
_atom_site_fract_x
_atom_site_fract_y
_atom_site_fract_z
Tl1 Tl 0.000 0.500 0.000
Cr1 Cr 0.000 0.000 0.251
Br1 Br 0.000 0.000 0.003
Br2 Br 0.225 0.225 0.287
```

The 10 most intense peaks (10° ≤ 2θ ≤ 90°), most intense first:
- 2θ 29.78, I 100
- 2θ 32.71, I 52
- 2θ 24.82, I 43
- 2θ 56.58, I 28
- 2θ 50.92, I 27
- 2θ 16.19, I 25
- 2θ 41.49, I 25
- 2θ 37.91, I 20
- 2θ 14.76, I 18
- 2θ 46.94, I 17